No. 1
Structure and computed powder diffractogram of LiPmYAg (DFT lattice parameters and positions (PBE); Cu Kα (λ = 1.5418 Å)).
Peak positions follow from Bragg's law for the DFT cell and can differ from measured ones.

Most intense lines, 10° ≤ 2θ ≤ 90°, sorted by position:
2θ = 20.7°, intensity 27, hkl 1 1 1; 2θ = 24.0°, intensity 14, hkl 2 0 0; 2θ = 34.2°, intensity 100, hkl 2 2 0; 2θ = 40.3°, intensity 15, hkl 3 1 1; 2θ = 49.1°, intensity 18, hkl 4 0 0; 2θ = 61.2°, intensity 36, hkl 4 2 2; 2θ = 72.0°, intensity 11, hkl 4 4 0; 2θ = 82.2°, intensity 15, hkl 6 2 0

Atomic structure:
abc: 7.416 7.416 7.416
angles: 90.00 90.00 90.00
Space group F-43m (No. 216)
Symmetry-distinct sites (fractional):
Li 0.000 0.000 0.000 [4 per cell]
Pm 0.250 0.250 0.250 [4 per cell]
Y 0.250 0.250 0.750 [4 per cell]
Ag 0.000 0.000 0.500 [4 per cell]

---

No. 2
Structure and computed powder diffractogram of AcTb4Y (DFT lattice parameters and positions (PBE); Cu Kα (λ = 1.5418 Å)).
Peak positions follow from Bragg's law for the DFT cell and can differ from measured ones.

Most intense lines, 10° ≤ 2θ ≤ 90°, sorted by position:
2θ = 30.1°, intensity 49, hkl -2 1 2; 2θ = 30.2°, intensity 100, hkl -2 2 1; 2θ = 30.3°, intensity 53, hkl 0 2 1; 2θ = 30.9°, intensity 99, hkl 1 -2 2; 2θ = 31.0°, intensity 98, hkl 1 2 -2; 2θ = 31.5°, intensity 100, hkl 2 0 0; 2θ = 31.7°, intensity 54, hkl 1 0 -3; 2θ = 32.2°, intensity 49, hkl 1 -3 0

Atomic structure:
abc: 6.727 8.541 8.662
angles: 102.50 109.65 109.56
Space group P-1 (No. 2)
Symmetry-distinct sites (fractional):
Ac 0.241 0.400 0.255 [2 per cell]
Tb 0.243 0.744 0.589 [2 per cell]
Tb 0.245 0.141 0.522 [2 per cell]
Tb 0.251 0.480 0.852 [2 per cell]
Tb 0.261 0.077 0.920 [2 per cell]
Y 0.257 0.823 0.193 [2 per cell]

---

No. 3
Structure and computed powder diffractogram of CsGaH4 (DFT lattice parameters and positions (PBE); Cu Kα (λ = 1.5418 Å)).
Peak positions follow from Bragg's law for the DFT cell and can differ from measured ones.

Most intense lines, 10° ≤ 2θ ≤ 90°, sorted by position:
2θ = 22.7°, intensity 100, hkl 1 1 0; 2θ = 22.8°, intensity 49, hkl 0 0 2; 2θ = 32.3°, intensity 40, hkl 2 0 0; 2θ = 32.4°, intensity 80, hkl 1 1 2; 2θ = 39.9°, intensity 45, hkl 2 0 2; 2θ = 52.3°, intensity 40, hkl 3 1 0; 2θ = 52.5°, intensity 20, hkl 1 1 4; 2θ = 57.7°, intensity 30, hkl 3 1 2

Atomic structure:
abc: 5.539 5.539 7.786
angles: 90.00 90.00 90.00
Space group P4_2/nmc (No. 137, origin choice 2)
Symmetry-distinct sites (fractional):
Cs 0.250 0.750 0.250 [2 per cell]
Ga 0.250 0.750 0.750 [2 per cell]
H 0.015 0.750 0.630 [8 per cell]

---

No. 4
Structure and computed powder diffractogram of VHgTe2 (DFT lattice parameters and positions (PBE); Cu Kα (λ = 1.5418 Å)).
Peak positions follow from Bragg's law for the DFT cell and can differ from measured ones.

Most intense lines, 10° ≤ 2θ ≤ 90°, sorted by position:
2θ = 26.0°, intensity 46, hkl 1 0 0; 2θ = 27.5°, intensity 63, hkl 0 0 3; 2θ = 28.2°, intensity 100, hkl 0 2 -1; 2θ = 29.8°, intensity 48, hkl -1 1 1; 2θ = 31.6°, intensity 74, hkl 1 1 -2; 2θ = 34.6°, intensity 62, hkl 1 0 -3; 2θ = 35.4°, intensity 58, hkl 0 2 2; 2θ = 42.0°, intensity 45, hkl -1 2 2

Atomic structure:
abc: 3.479 6.460 9.970
angles: 97.02 99.89 90.04
Space group P-1 (No. 2)
Symmetry-distinct sites (fractional):
V 0.246 0.316 0.492 [2 per cell]
Hg 0.016 0.759 0.032 [2 per cell]
Te 0.185 0.903 0.366 [2 per cell]
Te 0.349 0.615 0.703 [2 per cell]

---

No. 5
Structure and computed powder diffractogram of Ba3HgBi5 (DFT lattice parameters and positions (PBE); Cu Kα (λ = 1.5418 Å)).
Peak positions follow from Bragg's law for the DFT cell and can differ from measured ones.

Most intense lines, 10° ≤ 2θ ≤ 90°, sorted by position:
2θ = 26.9°, intensity 100, hkl 1 1 1; 2θ = 29.4°, intensity 90, hkl 2 0 1; 2θ = 31.0°, intensity 43, hkl 2 1 0; 2θ = 35.3°, intensity 58, hkl 3 0 0; 2θ = 35.8°, intensity 38, hkl 0 0 2; 2θ = 35.9°, intensity 66, hkl 2 1 1; 2θ = 51.1°, intensity 41, hkl 3 0 2; 2θ = 55.6°, intensity 43, hkl 3 2 1

Atomic structure:
abc: 8.8084 8.8084 5.0229
angles: 90.00 90.00 120.00
Space group P-62m (No. 189)
Symmetry-distinct sites (fractional):
Ba 0.0000 0.3901 0.0000 [3 per cell]
Hg 0.0000 0.0000 0.0000 [1 per cell]
Bi 0.0000 0.7418 0.5000 [3 per cell]
Bi 0.3333 0.6667 0.5000 [2 per cell]

---

No. 6
Structure and computed powder diffractogram of PmNd2N2 (DFT lattice parameters and positions (PBE); Cu Kα (λ = 1.5418 Å)).
Peak positions follow from Bragg's law for the DFT cell and can differ from measured ones.

Most intense lines, 10° ≤ 2θ ≤ 90°, sorted by position:
2θ = 29.6°, intensity 98, hkl 0 1 3; 2θ = 30.1°, intensity 100, hkl 1 1 0; 2θ = 34.3°, intensity 46, hkl 0 2 0; 2θ = 34.8°, intensity 84, hkl 1 0 3; 2θ = 49.6°, intensity 60, hkl 1 2 3; 2θ = 58.9°, intensity 25, hkl 1 1 6; 2θ = 59.7°, intensity 28, hkl 2 1 3; 2θ = 62.5°, intensity 16, hkl 2 2 0

Atomic structure:
abc: 3.614 5.231 11.063
angles: 90.00 90.00 90.00
Space group Immm (No. 71)
Symmetry-distinct sites (fractional):
Pm 0.000 0.000 0.000 [2 per cell]
Nd 0.000 0.000 0.319 [4 per cell]
N 0.000 0.500 0.332 [4 per cell]